Starting from a cell relaxed with GGA-PBE, the powder X-ray diffraction pattern of KRbCoI4 was simulated for Cu Ka.

Cell and atoms:
abc: 7.8704 8.2184 10.1917
angles: 90.00 108.67 90.00
Atoms (fractional coordinates):
K  0.2191  0.2500  0.0483
K  0.7809  0.7500  0.9517
Rb  0.2744  0.2500  0.5738
Rb  0.7256  0.7500  0.4262
Co  0.2090  0.7500  0.8000
Co  0.7910  0.2500  0.2000
I  0.0033  0.0012  0.2553
I  0.0033  0.4988  0.2553
I  0.3885  0.7500  0.0606
I  0.4077  0.7500  0.6408
I  0.5923  0.2500  0.3592
I  0.6115  0.2500  0.9394
I  0.9967  0.5012  0.7447
I  0.9967  0.9988  0.7447

Top 10 peaks for 10 to 80 degrees two-theta, in order of rising 2θ:
index, Position (°2θ), intensity
1 2 0, 24.74, 76.2
2 0 -2, 25.03, 100.0
2 1 -2, 27.31, 43.7
1 2 -2, 28.54, 72.2
2 2 0, 32.43, 24.4
1 0 -4, 35.22, 26.4
2 2 2, 41.34, 19.7
3 2 -2, 41.44, 22.0
2 2 -4, 43.52, 21.5
0 4 0, 44.07, 26.8